K2SbF5: theoretical powder diffractogram (Cu Kα X-rays), based on a structure optimized by DFT (GGA-PBE).
Lines closer than 0.1° are merged.

Main lines, by intensity (2θ = 10–90°):
2θ/deg	I (rel.)
26.78	100
26.88	95
18.33	70
39.27	70
15.02	60
20.30	52
46.89	45
48.07	39

Cell and atoms:
Cell: 7.903 6.515 12.924 Å, 90.00 113.83 90.00°
Sites, in units of the cell vectors:
K (0.009, 0.248, 0.381)
K (0.009, 0.252, 0.881)
K (0.327, 0.736, 0.945)
K (0.327, 0.764, 0.445)
K (0.673, 0.236, 0.555)
K (0.673, 0.264, 0.055)
K (0.991, 0.748, 0.119)
K (0.991, 0.752, 0.619)
Sb (0.313, 0.232, 0.197)
Sb (0.313, 0.268, 0.697)
Sb (0.687, 0.732, 0.303)
Sb (0.687, 0.768, 0.803)
F (0.049, 0.192, 0.602)
F (0.049, 0.308, 0.102)
F (0.185, 0.038, 0.275)
F (0.185, 0.462, 0.775)
F (0.245, 0.503, 0.575)
F (0.245, 0.997, 0.075)
F (0.268, 0.019, 0.790)
F (0.268, 0.481, 0.290)
F (0.350, 0.089, 0.568)
F (0.350, 0.411, 0.068)
F (0.650, 0.589, 0.932)
F (0.650, 0.911, 0.432)
F (0.732, 0.519, 0.710)
F (0.732, 0.981, 0.210)
F (0.755, 0.003, 0.925)
F (0.755, 0.497, 0.425)
F (0.815, 0.538, 0.225)
F (0.815, 0.962, 0.725)
F (0.951, 0.692, 0.898)
F (0.951, 0.808, 0.398)